1.
Theoretical powder diffractogram
Compound: Se4BrCl3
Radiation: λ = 1.5418 Å (Cu Kα)
Structure: a DFT-relaxed cell (PBE, Alexandria)
Kinematic intensities with the Lorentz-polarization factor, no thermal factor.

The 8 most intense peaks (15° ≤ 2θ ≤ 90°), low angle first:
2theta  I_rel
16.16  100
17.45  40
20.85  31
22.46  33
28.75  35
29.54  41
33.86  24
39.99  21

Crystal structure
a b c (Å): 8.351 5.484 14.270
angles (deg): 90.00 108.53 90.00
Fractional coordinates of all 16 atoms:
Se (0.000, 0.038, 0.000)
Se (0.000, 0.962, 0.500)
Se (0.405, 0.059, 0.131)
Se (0.405, 0.941, 0.631)
Se (0.507, 0.039, 0.002)
Se (0.507, 0.961, 0.502)
Se (0.903, 0.066, 0.131)
Se (0.903, 0.934, 0.631)
Br (0.643, 0.134, 0.279)
Br (0.643, 0.866, 0.779)
Cl (0.013, 0.416, 0.942)
Cl (0.013, 0.584, 0.442)
Cl (0.134, 0.120, 0.266)
Cl (0.134, 0.880, 0.766)
Cl (0.511, 0.417, 0.944)
Cl (0.511, 0.583, 0.444)


2.
Theoretical powder diffractogram
Compound: SeBrCl3
Radiation: λ = 1.5418 Å (Cu Kα)
Structure: a DFT-relaxed cell (PBE, Alexandria)
Kinematic intensities with the Lorentz-polarization factor, no thermal factor.

The 8 most intense peaks (15° ≤ 2θ ≤ 90°), low angle first:
2theta  I_rel
15.40  45
19.74  77
21.96  32
31.88  100
33.05  49
45.05  23
45.42  30
47.71  27

Crystal structure
a b c (Å): 8.957 8.957 6.492
angles (deg): 103.95 103.95 128.03
Fractional coordinates of all 10 atoms:
Se (0.071, 0.929, 0.500)
Se (0.929, 0.071, 0.000)
Br (0.058, 0.395, 0.996)
Br (0.395, 0.058, 0.496)
Cl (0.151, 0.274, 0.446)
Cl (0.274, 0.151, 0.946)
Cl (0.622, 0.945, 0.992)
Cl (0.725, 0.838, 0.549)
Cl (0.838, 0.725, 0.049)
Cl (0.945, 0.622, 0.492)


3.
Theoretical powder diffractogram
Compound: SeBr3Cl
Radiation: λ = 1.5418 Å (Cu Kα)
Structure: a DFT-relaxed cell (PBE, Alexandria)
Kinematic intensities with the Lorentz-polarization factor, no thermal factor.

The 8 most intense peaks (15° ≤ 2θ ≤ 90°), low angle first:
2theta  I_rel
17.71  40
18.11  100
24.83  27
27.88  52
30.13  39
35.38  25
36.70  46
48.19  39

Crystal structure
a b c (Å): 6.059 8.898 10.290
angles (deg): 90.00 126.03 90.00
Fractional coordinates of all 10 atoms:
Se (0.000, 0.165, 0.000)
Se (0.000, 0.835, 0.500)
Br (0.524, 0.171, 0.772)
Br (0.524, 0.829, 0.272)
Br (0.966, 0.164, 0.500)
Br (0.966, 0.836, 0.000)
Br (0.981, 0.171, 0.229)
Br (0.981, 0.829, 0.729)
Cl (0.101, 0.406, 0.000)
Cl (0.101, 0.594, 0.500)